Record 1
Computed PXRD pattern
Compound: CeDyFe10
Radiation: λ = 1.5418 Å (Cu Kα)
Structure: a structure optimized by DFT (PBE)
Intensities are scaled so that the largest is 100.

Structure:
Unit cell a=3.983 b=5.001 c=8.629 alpha=90.00 beta=90.00 gamma=90.00
Element x y z (fractional)
Ce 0.000 0.000 0.000
Dy 0.000 0.500 0.500
Fe 0.000 0.000 0.332
Fe 0.000 0.000 0.668
Fe 0.000 0.500 0.165
Fe 0.000 0.500 0.835
Fe 0.500 0.000 0.500
Fe 0.500 0.252 0.253
Fe 0.500 0.252 0.747
Fe 0.500 0.500 0.000
Fe 0.500 0.748 0.253
Fe 0.500 0.748 0.747

The 10 most intense peaks (2θ from 10° to 90°), sorted by position:
2θ (°)	I (rel.)
30.52	53
36.02	22
41.75	24
41.88	12
42.76	100
45.55	25
59.37	15
63.52	20
69.29	15
82.25	14

***

Record 2
Computed PXRD pattern
Compound: Ce2DyFeHg
Radiation: λ = 1.5418 Å (Cu Kα)
Structure: a structure optimized by DFT (PBE)
Intensities are scaled so that the largest is 100.

Structure:
Unit cell a=4.861 b=4.861 c=5.497 alpha=90.00 beta=90.00 gamma=90.00
Element x y z (fractional)
Ce 0.000 0.500 0.000
Ce 0.500 0.000 0.000
Dy 0.000 0.000 0.500
Fe 0.000 0.000 0.000
Hg 0.500 0.500 0.501

The 10 most intense peaks (2θ from 10° to 90°), sorted by position:
2θ (°)	I (rel.)
30.68	100
32.58	31
36.99	44
50.10	37
53.31	15
56.95	18
62.77	27
63.88	18
80.25	9
81.78	13

***

Record 3
Computed PXRD pattern
Compound: CeDy4Ga5
Radiation: λ = 1.5418 Å (Cu Kα)
Structure: a structure optimized by DFT (PBE)
Intensities are scaled so that the largest is 100.

Structure:
Unit cell a=3.548 b=3.548 c=18.265 alpha=90.00 beta=90.00 gamma=90.00
Element x y z (fractional)
Ce 0.000 0.000 0.000
Dy 0.000 0.000 0.205
Dy 0.000 0.000 0.401
Dy 0.000 0.000 0.599
Dy 0.000 0.000 0.795
Ga 0.500 0.500 0.107
Ga 0.500 0.500 0.303
Ga 0.500 0.500 0.500
Ga 0.500 0.500 0.697
Ga 0.500 0.500 0.893

The 10 most intense peaks (2θ from 10° to 90°), sorted by position:
2θ (°)	I (rel.)
24.37	8
25.10	16
35.26	100
35.79	49
49.93	9
51.52	17
62.94	18
63.97	35
74.57	11
86.80	8

***

Record 4
Computed PXRD pattern
Compound: CeDyGa
Radiation: λ = 1.5418 Å (Cu Kα)
Structure: a structure optimized by DFT (PBE)
Intensities are scaled so that the largest is 100.

Structure:
Unit cell a=16.829 b=5.105 c=3.492 alpha=90.00 beta=90.00 gamma=90.00
Element x y z (fractional)
Ce 0.232 0.250 0.001
Ce 0.268 0.750 0.501
Ce 0.732 0.250 0.499
Ce 0.768 0.750 0.999
Dy 0.073 0.750 0.001
Dy 0.427 0.250 0.501
Dy 0.573 0.750 0.499
Dy 0.927 0.250 0.999
Ga 0.081 0.250 0.500
Ga 0.419 0.750 0.000
Ga 0.581 0.250 0.000
Ga 0.919 0.750 0.500

The 10 most intense peaks (2θ from 10° to 90°), sorted by position:
2θ (°)	I (rel.)
27.47	16
31.91	26
35.00	100
35.16	26
48.21	17
52.40	8
58.87	13
62.99	18
64.68	9
73.95	9

***

Record 5
Computed PXRD pattern
Compound: CeDy2Ga3
Radiation: λ = 1.5418 Å (Cu Kα)
Structure: a structure optimized by DFT (PBE)
Intensities are scaled so that the largest is 100.

Structure:
Unit cell a=5.077 b=5.077 c=12.509 alpha=90.00 beta=90.00 gamma=120.00
Element x y z (fractional)
Ce 0.333 0.667 0.164
Ce 0.667 0.333 0.836
Dy 0.000 0.000 0.000
Dy 0.000 0.000 0.500
Dy 0.333 0.667 0.664
Dy 0.667 0.333 0.336
Ga 0.000 0.000 0.253
Ga 0.000 0.000 0.747
Ga 0.333 0.667 0.418
Ga 0.333 0.667 0.915
Ga 0.667 0.333 0.085
Ga 0.667 0.333 0.582

The 10 most intense peaks (2θ from 10° to 90°), sorted by position:
2θ (°)	I (rel.)
24.75	30
35.22	100
35.36	99
50.76	35
63.10	18
63.41	54
74.46	11
74.80	11
85.21	16
85.46	16

***

Record 6
Computed PXRD pattern
Compound: CeDyGa3
Radiation: λ = 1.5418 Å (Cu Kα)
Structure: a structure optimized by DFT (PBE)
Intensities are scaled so that the largest is 100.

Structure:
Unit cell a=13.032 b=13.032 c=4.183 alpha=90.00 beta=90.00 gamma=161.10
Element x y z (fractional)
Ce 0.073 0.927 0.750
Ce 0.927 0.073 0.250
Dy 0.204 0.796 0.250
Dy 0.796 0.204 0.750
Ga 0.323 0.677 0.250
Ga 0.380 0.620 0.750
Ga 0.476 0.524 0.750
Ga 0.524 0.476 0.250
Ga 0.620 0.380 0.250
Ga 0.677 0.323 0.750

The 10 most intense peaks (2θ from 10° to 90°), sorted by position:
2θ (°)	I (rel.)
25.41	19
31.68	100
32.11	54
34.69	13
41.22	32
42.23	27
43.26	24
54.88	23
60.48	20
62.05	17